Simulated powder XRD pattern
Compound: CePu4O10
Radiation: a wavelength of 1.5418 Å
Structure: the GGA-PBE geometry in Alexandria

Peak list (6 most intense, 15° ≤ 2θ ≤ 90°, in order of rising 2θ)
28.17 deg, intensity 36, (0 0 15)
28.77 deg, intensity 100, (0 1 5)
33.16 deg, intensity 49, (1 0 10)
47.22 deg, intensity 34, (0 1 20)
47.99 deg, intensity 33, (1 1 0)
56.58 deg, intensity 32, (1 1 15)

Cell and atoms:
abc: 3.7914 3.7914 47.5176
angles: 90.00 90.00 120.00
Space group R-3m (No. 166, hexagonal axes)
Symmetry-distinct sites (fractional):
Ce 0.0000 0.0000 0.0000
Pu 0.0000 0.0000 0.1994
Pu 0.0000 0.0000 0.4004
O 0.0000 0.0000 0.0514
O 0.0000 0.0000 0.1503
O 0.0000 0.0000 0.2495
O 0.0000 0.0000 0.3511
O 0.0000 0.0000 0.4508

---

Simulated powder XRD pattern
Compound: Ce4PuO10
Radiation: a wavelength of 1.5418 Å
Structure: the GGA-PBE geometry in Alexandria

Peak list (6 most intense, 15° ≤ 2θ ≤ 90°, in order of rising 2θ)
28.36 deg, intensity 100, (1 2 1)
32.86 deg, intensity 31, (3 1 0)
47.16 deg, intensity 53, (3 1 2)
55.95 deg, intensity 45, (5 0 1)
76.12 deg, intensity 18, (5 0 3)
87.72 deg, intensity 17, (5 5 2)

Cell and atoms:
abc: 8.6177 8.6177 5.4513
angles: 90.00 90.00 90.00
Space group I4/m (No. 87)
Symmetry-distinct sites (fractional):
Ce 0.0999 0.7003 0.0000
Pu 0.0000 0.0000 0.5000
O 0.0000 0.5000 0.2500
O 0.0994 0.1969 0.2533

---

Simulated powder XRD pattern
Compound: CeSmPuO6
Radiation: a wavelength of 1.5418 Å
Structure: the GGA-PBE geometry in Alexandria

Peak list (6 most intense, 15° ≤ 2θ ≤ 90°, in order of rising 2θ)
25.85 deg, intensity 100, (1 0 2)
30.57 deg, intensity 66, (1 1 0)
36.17 deg, intensity 25, (2 -1 2)
40.46 deg, intensity 31, (2 0 2)
49.75 deg, intensity 50, (2 -1 4)
51.55 deg, intensity 31, (3 -1 2)

Cell and atoms:
abc: 5.8479 5.8479 9.4081
angles: 90.00 90.00 120.00
Space group P-31c (No. 163)
Symmetry-distinct sites (fractional):
Ce 0.0000 0.0000 0.0000
Sm 0.3333 0.6667 0.2500
Pu 0.3333 0.6667 0.7500
O 0.0284 0.3510 0.8693

---

Simulated powder XRD pattern
Compound: Tb2CePuO8
Radiation: a wavelength of 1.5418 Å
Structure: the GGA-PBE geometry in Alexandria

Peak list (6 most intense, 15° ≤ 2θ ≤ 90°, in order of rising 2θ)
28.64 deg, intensity 100, (1 1 0)
28.82 deg, intensity 99, (0 1 2)
33.29 deg, intensity 66, (1 0 2)
47.76 deg, intensity 51, (1 2 2)
56.61 deg, intensity 45, (2 1 2)
56.91 deg, intensity 30, (1 1 4)

Cell and atoms:
abc: 3.8205 5.3895 7.5718
angles: 89.88 90.00 89.91
Space group P-1 (No. 2)
Symmetry-distinct sites (fractional):
Tb 0.0000 0.9997 0.2488
Ce 0.5000 0.5000 0.5000
Pu 0.5000 0.5000 0.0000
O 0.9999 0.2520 0.4995
O 0.0007 0.7288 0.0004
O 0.4994 0.2598 0.7686
O 0.4994 0.2609 0.2304

---

Simulated powder XRD pattern
Compound: Rb3CeTa2O9
Radiation: a wavelength of 1.5418 Å
Structure: the GGA-PBE geometry in Alexandria

Peak list (6 most intense, 15° ≤ 2θ ≤ 90°, in order of rising 2θ)
21.03 deg, intensity 40, (1 0 1)
29.86 deg, intensity 100, (0 1 2)
29.97 deg, intensity 98, (1 1 0)
42.82 deg, intensity 59, (2 0 2)
53.16 deg, intensity 60, (3 0 0)
86.30 deg, intensity 22, (2 3 2)

Cell and atoms:
abc: 5.9634 5.9634 7.3417
angles: 90.00 90.00 120.00
Space group P-3m1 (No. 164)
Symmetry-distinct sites (fractional):
Rb 0.0000 0.0000 0.0000
Rb 0.3333 0.6667 0.6662
Ce 0.0000 0.0000 0.5000
Ta 0.3333 0.6667 0.1599
O 0.0000 0.5000 0.0000
O 0.1771 0.3541 0.3152

---

Simulated powder XRD pattern
Compound: RbTb2Ce2O7
Radiation: a wavelength of 1.5418 Å
Structure: the GGA-PBE geometry in Alexandria

Peak list (6 most intense, 15° ≤ 2θ ≤ 90°, in order of rising 2θ)
23.53 deg, intensity 40, (1 0 3)
28.77 deg, intensity 100, (1 1 2)
29.79 deg, intensity 47, (1 0 5)
32.88 deg, intensity 50, (1 1 4)
38.95 deg, intensity 83, (2 0 0)
54.40 deg, intensity 78, (2 0 8)

Cell and atoms:
abc: 4.6229 4.6229 19.7081
angles: 90.00 90.00 90.00
Space group I4/mmm (No. 139)
Symmetry-distinct sites (fractional):
Rb 0.0000 0.0000 0.0000
Tb 0.0000 0.5000 0.2500
Ce 0.0000 0.0000 0.3892
O 0.0000 0.0000 0.2639
O 0.0000 0.0000 0.5000
O 0.0000 0.5000 0.1345

---

Simulated powder XRD pattern
Compound: RbCeTcO6
Radiation: a wavelength of 1.5418 Å
Structure: the GGA-PBE geometry in Alexandria

Peak list (6 most intense, 15° ≤ 2θ ≤ 90°, in order of rising 2θ)
23.22 deg, intensity 100, (1 0 1)
31.67 deg, intensity 39, (1 1 0)
34.94 deg, intensity 17, (2 -1 1)
39.64 deg, intensity 20, (2 0 1)
43.47 deg, intensity 50, (2 -1 2)
51.60 deg, intensity 22, (3 -1 1)

Cell and atoms:
abc: 5.6502 5.6502 6.1582
angles: 90.00 90.00 120.00
Space group P312 (No. 149)
Symmetry-distinct sites (fractional):
Rb 0.0000 0.0000 0.0000
Ce 0.3333 0.6667 0.5000
Tc 0.6667 0.3333 0.5000
O 0.4074 0.0427 0.6775

---

Simulated powder XRD pattern
Compound: RbCeTc2O8
Radiation: a wavelength of 1.5418 Å
Structure: the GGA-PBE geometry in Alexandria

Peak list (6 most intense, 15° ≤ 2θ ≤ 90°, in order of rising 2θ)
20.19 deg, intensity 100, (0 1 1)
27.90 deg, intensity 80, (0 1 2)
29.49 deg, intensity 69, (1 1 0)
41.04 deg, intensity 38, (0 2 2)
51.35 deg, intensity 29, (2 1 2)
54.67 deg, intensity 27, (1 1 4)

Cell and atoms:
abc: 6.0574 6.0574 8.0688
angles: 90.00 90.00 120.00
Space group P-3 (No. 147)
Symmetry-distinct sites (fractional):
Rb 0.0000 0.0000 0.0000
Ce 0.0000 0.0000 0.5000
Tc 0.3333 0.6667 0.7557
O 0.1684 0.3431 0.6770
O 0.3333 0.6667 0.9720

---

Simulated powder XRD pattern
Compound: Rb3CeTe2O9
Radiation: a wavelength of 1.5418 Å
Structure: the GGA-PBE geometry in Alexandria

Peak list (6 most intense, 15° ≤ 2θ ≤ 90°, in order of rising 2θ)
21.01 deg, intensity 11, (1 0 1)
29.89 deg, intensity 100, (1 1 0)
42.78 deg, intensity 32, (2 0 2)
53.01 deg, intensity 30, (3 0 0)
62.00 deg, intensity 10, (2 2 0)
85.91 deg, intensity 11, (4 1 0)

Cell and atoms:
abc: 5.9875 5.9875 7.3031
angles: 90.00 90.00 120.00
Space group P-3m1 (No. 164)
Symmetry-distinct sites (fractional):
Rb 0.0000 0.0000 0.0000
Rb 0.3333 0.6667 0.6709
Ce 0.0000 0.0000 0.5000
Te 0.3333 0.6667 0.1643
O 0.0000 0.5000 0.0000
O 0.1782 0.3564 0.3204

---

Simulated powder XRD pattern
Compound: Rb3CeTi2O8
Radiation: a wavelength of 1.5418 Å
Structure: the GGA-PBE geometry in Alexandria

Peak list (6 most intense, 15° ≤ 2θ ≤ 90°, in order of rising 2θ)
27.58 deg, intensity 99, (0 1 2)
28.85 deg, intensity 100, (1 1 0)
40.33 deg, intensity 49, (2 0 2)
50.34 deg, intensity 36, (1 2 2)
51.12 deg, intensity 19, (3 0 0)
54.06 deg, intensity 23, (1 1 4)

Cell and atoms:
abc: 6.1901 6.1901 8.1129
angles: 90.00 90.00 120.00
Space group P-3m1 (No. 164)
Symmetry-distinct sites (fractional):
Rb 0.0000 0.0000 0.0000
Rb 0.3333 0.6667 0.7035
Ce 0.0000 0.0000 0.5000
Ti 0.3333 0.6667 0.2594
O 0.1706 0.3412 0.3357
O 0.3333 0.6667 0.0399

---

Simulated powder XRD pattern
Compound: RbCe2Tm2O7
Radiation: a wavelength of 1.5418 Å
Structure: the GGA-PBE geometry in Alexandria

Peak list (6 most intense, 15° ≤ 2θ ≤ 90°, in order of rising 2θ)
23.77 deg, intensity 38, (1 0 3)
29.16 deg, intensity 100, (1 1 2)
30.00 deg, intensity 44, (1 0 5)
33.24 deg, intensity 53, (1 1 4)
39.55 deg, intensity 68, (2 0 0)
54.93 deg, intensity 42, (2 0 8)

Cell and atoms:
abc: 4.5570 4.5570 19.6808
angles: 90.00 90.00 90.00
Space group I4/mmm (No. 139)
Symmetry-distinct sites (fractional):
Rb 0.0000 0.0000 0.0000
Ce 0.0000 0.0000 0.3881
Tm 0.0000 0.5000 0.2500
O 0.0000 0.0000 0.2612
O 0.0000 0.0000 0.5000
O 0.0000 0.5000 0.1377

---

Simulated powder XRD pattern
Compound: SrCe2RuO8
Radiation: a wavelength of 1.5418 Å
Structure: the GGA-PBE geometry in Alexandria

Peak list (6 most intense, 15° ≤ 2θ ≤ 90°, in order of rising 2θ)
24.60 deg, intensity 58, (1 0 -1)
24.76 deg, intensity 58, (1 0 1)
30.84 deg, intensity 100, (1 2 0)
35.19 deg, intensity 27, (0 0 2)
47.38 deg, intensity 41, (2 2 -1)
47.57 deg, intensity 40, (2 2 1)

Cell and atoms:
abc: 5.0967 7.0484 5.1057
angles: 90.00 90.37 90.00
Space group P2/m (No. 10)
Symmetry-distinct sites (fractional):
Sr 0.0000 0.0000 0.0000
Ce 0.5000 0.2534 0.5000
Ru 0.0000 0.5000 0.0000
O 0.1883 0.3050 0.1852
O 0.2782 0.5000 0.7194
O 0.3243 0.0000 0.6707